Structure and theoretical PXRD pattern of PmTcAg2O6 (a structure optimized by DFT (GGA-PBE); Cu Kα (weighted mean of Kα1 and Kα2)).
Peak positions follow from Bragg's law for the DFT cell and can differ from measured ones.

Principal peaks in the range 10° ≤ 2θ ≤ 90°, by angle:
| 2θ/deg | d [Å] | I/Imax |
| --- | --- | --- |
| 30.37 | 2.943 | 100 |
| 31.27 | 2.860 | 87 |
| 44.15 | 2.051 | 44 |
| 53.39 | 1.716 | 17 |
| 55.10 | 1.667 | 38 |
| 55.66 | 1.651 | 23 |
| 63.19 | 1.471 | 13 |
| 65.24 | 1.430 | 11 |
| 72.20 | 1.308 | 15 |
| 73.64 | 1.286 | 15 |

Cell and atoms:
Cell lengths 5.8908, 5.8908, 5.8908 Å; angles 58.10, 58.10, 58.10 degrees
Element x y z (fractional)
Pm: 0.0000 0.0000 0.0000
Tc: 0.4978 0.4978 0.4978
Ag: 0.2656 0.2656 0.2656
Ag: 0.7440 0.7440 0.7440
O: 0.1661 0.7035 0.3799
O: 0.2749 0.6113 0.8195
O: 0.3799 0.1661 0.7035
O: 0.6113 0.8195 0.2749
O: 0.7035 0.3799 0.1661
O: 0.8195 0.2749 0.6113